Diffraction record for TiZnSnO4. The XRD peak list is computed, not measured: it uses a structure optimized by DFT (GGA-PBE) and Cu Kα (weighted mean of Kα1 and Kα2).
Neutral-atom scattering factors, no anomalous dispersion.

Structure:
a = 11.707 Å, b = 3.115 Å, c = 10.082 Å
α = 90.00°, β = 90.00°, γ = 90.00°
Sites, in units of the cell vectors:
Ti: 0.220 0.250 0.184
Ti: 0.280 0.750 0.684
Ti: 0.720 0.250 0.316
Ti: 0.780 0.750 0.816
Zn: 0.081 0.250 0.481
Zn: 0.419 0.750 0.981
Zn: 0.581 0.250 0.019
Zn: 0.919 0.750 0.519
Sn: 0.034 0.250 0.851
Sn: 0.466 0.750 0.351
Sn: 0.534 0.250 0.649
Sn: 0.966 0.750 0.149
O: 0.075 0.250 0.064
O: 0.131 0.750 0.276
O: 0.155 0.750 0.809
O: 0.219 0.250 0.588
O: 0.281 0.750 0.088
O: 0.345 0.250 0.309
O: 0.369 0.250 0.776
O: 0.425 0.750 0.564
O: 0.575 0.250 0.436
O: 0.631 0.750 0.224
O: 0.655 0.750 0.691
O: 0.719 0.250 0.912
O: 0.781 0.750 0.412
O: 0.845 0.250 0.191
O: 0.869 0.250 0.724
O: 0.925 0.750 0.936

Top 10 peaks for 10 to 90 degrees two-theta, in order of rising 2θ:
- 15.14 deg, d = 5.854 Å, I = 49
- 27.61 deg, d = 3.230 Å, I = 100
- 28.93 deg, d = 3.086 Å, I = 43
- 32.56 deg, d = 2.750 Å, I = 28
- 33.79 deg, d = 2.653 Å, I = 52
- 34.71 deg, d = 2.585 Å, I = 34
- 41.18 deg, d = 2.192 Å, I = 39
- 42.37 deg, d = 2.133 Å, I = 20
- 56.26 deg, d = 1.635 Å, I = 24
- 56.60 deg, d = 1.626 Å, I = 24

---

Diffraction record for Ti2GaFe. The XRD peak list is computed, not measured: it uses a structure optimized by DFT (GGA-PBE) and Cu Kα (weighted mean of Kα1 and Kα2).
Neutral-atom scattering factors, no anomalous dispersion.

Structure:
a = 6.112 Å, b = 6.112 Å, c = 6.112 Å
α = 90.00°, β = 90.00°, γ = 90.00°
Sites, in units of the cell vectors:
Ti: 0.000 0.000 0.000
Ti: 0.000 0.500 0.500
Ti: 0.250 0.250 0.250
Ti: 0.250 0.750 0.750
Ti: 0.500 0.000 0.500
Ti: 0.500 0.500 0.000
Ti: 0.750 0.250 0.750
Ti: 0.750 0.750 0.250
Ga: 0.000 0.000 0.500
Ga: 0.000 0.500 0.000
Ga: 0.500 0.000 0.000
Ga: 0.500 0.500 0.500
Fe: 0.250 0.250 0.750
Fe: 0.250 0.750 0.250
Fe: 0.750 0.250 0.250
Fe: 0.750 0.750 0.750

Top 8 peaks for 10 to 90 degrees two-theta, in order of rising 2θ:
- 25.24 deg, d = 3.529 Å, I = 4
- 29.22 deg, d = 3.056 Å, I = 1
- 41.80 deg, d = 2.161 Å, I = 100
- 49.46 deg, d = 1.843 Å, I = 2
- 60.60 deg, d = 1.528 Å, I = 15
- 66.71 deg, d = 1.402 Å, I = 1
- 76.33 deg, d = 1.248 Å, I = 30
- 81.90 deg, d = 1.176 Å, I = 1

---

Diffraction record for Ca2RuO4. The XRD peak list is computed, not measured: it uses a structure optimized by DFT (GGA-PBE) and Cu Kα (weighted mean of Kα1 and Kα2).
Neutral-atom scattering factors, no anomalous dispersion.

Structure:
a = 6.846 Å, b = 6.846 Å, c = 5.338 Å
α = 90.00°, β = 90.00°, γ = 45.87°
Sites, in units of the cell vectors:
Ca: 0.154 0.154 0.000
Ca: 0.346 0.346 0.500
Ca: 0.654 0.654 0.500
Ca: 0.846 0.846 0.000
Ru: 0.000 0.000 0.500
Ru: 0.500 0.500 0.000
O: 0.166 0.166 0.500
O: 0.181 0.819 0.819
O: 0.319 0.681 0.319
O: 0.334 0.334 0.000
O: 0.666 0.666 0.000
O: 0.681 0.319 0.681
O: 0.819 0.181 0.181
O: 0.834 0.834 0.500

Top 10 peaks for 10 to 90 degrees two-theta, in order of rising 2θ:
- 14.05 deg, d = 6.305 Å, I = 71
- 24.62 deg, d = 3.615 Å, I = 40
- 31.87 deg, d = 2.808 Å, I = 100
- 33.59 deg, d = 2.668 Å, I = 82
- 43.04 deg, d = 2.102 Å, I = 29
- 43.14 deg, d = 2.097 Å, I = 22
- 48.23 deg, d = 1.887 Å, I = 37
- 55.67 deg, d = 1.651 Å, I = 32
- 58.98 deg, d = 1.566 Å, I = 42
- 66.64 deg, d = 1.403 Å, I = 38